# 1
Zn2InSeS2: theoretical PXRD pattern (Cu Kα (λ = 1.5418 Å)), based on a crystal structure in OQMD, relaxed with GGA-PBE.
Intensities are scaled so that the largest is 100.

Cell and atoms:
```
Zn2InSeS2
1.0
3.508 -6.266 0.000
3.508 6.266 0.000
-2.373 0.000 6.663
Zn In Se S
4 2 2 4
Direct
0.088 0.912 0.500 Zn
0.241 0.744 0.983 Zn
0.744 0.241 0.483 Zn
0.912 0.088 0.000 Zn
0.389 0.569 0.490 In
0.569 0.389 0.990 In
0.816 0.980 0.626 Se
0.980 0.816 0.126 Se
0.084 0.624 0.625 S
0.255 0.456 0.093 S
0.456 0.255 0.593 S
0.624 0.084 0.125 S
```

Principal peaks in the range 2θ = 10–90°, in order of rising 2θ:
two_theta, I/Imax
26.36, 100
26.76, 51
26.98, 58
44.11, 46
44.39, 43
52.47, 35


# 2
TlTe5Ir3: theoretical PXRD pattern (Cu Kα (λ = 1.5418 Å)), based on a crystal structure in OQMD, relaxed with GGA-PBE.
Intensities are scaled so that the largest is 100.

Cell and atoms:
```
TlTe5Ir3
1.0
5.873 0.000 0.000
-2.936 5.086 0.000
0.000 0.000 7.845
Tl Te Ir
1 5 3
Direct
0.000 0.000 0.000 Tl
0.000 0.000 0.500 Te
0.333 0.667 0.232 Te
0.333 0.667 0.768 Te
0.667 0.333 0.232 Te
0.667 0.333 0.768 Te
0.000 0.500 0.500 Ir
0.500 0.000 0.500 Ir
0.500 0.500 0.500 Ir
```

Principal peaks in the range 2θ = 10–90°, in order of rising 2θ:
two_theta, I/Imax
11.28, 60
28.74, 31
30.44, 38
35.29, 27
37.17, 30
42.36, 100


# 3
BaGa2CuPd: theoretical PXRD pattern (Cu Kα (λ = 1.5418 Å)), based on a crystal structure in OQMD, relaxed with GGA-PBE.
Intensities are scaled so that the largest is 100.

Cell and atoms:
```
BaGa2CuPd
1.0
4.497 0.000 0.000
0.000 4.497 0.000
0.000 0.000 10.588
Ba Ga Cu Pd
2 4 2 2
Direct
0.250 0.250 0.250 Ba
0.750 0.750 0.750 Ba
0.250 0.250 0.617 Ga
0.250 0.750 0.000 Ga
0.750 0.250 0.000 Ga
0.750 0.750 0.383 Ga
0.250 0.250 0.876 Cu
0.750 0.750 0.124 Cu
0.250 0.750 0.500 Pd
0.750 0.250 0.500 Pd
```

Principal peaks in the range 2θ = 10–90°, in order of rising 2θ:
two_theta, I/Imax
32.24, 65
32.86, 100
40.10, 64
52.36, 32
58.01, 21
68.29, 23


# 4
PrTmAg2Ge2: theoretical PXRD pattern (Cu Kα (λ = 1.5418 Å)), based on a crystal structure in OQMD, relaxed with GGA-PBE.
Intensities are scaled so that the largest is 100.

Cell and atoms:
```
PrTmAg2Ge2
1.0
4.525 0.000 0.000
-2.262 3.919 0.000
0.000 0.000 7.465
Pr Tm Ag Ge
1 1 2 2
Direct
0.000 0.000 0.000 Pr
0.000 0.000 0.503 Tm
0.333 0.667 0.246 Ag
0.667 0.333 0.699 Ag
0.333 0.667 0.782 Ge
0.667 0.333 0.302 Ge
```

Principal peaks in the range 2θ = 10–90°, in order of rising 2θ:
two_theta, I/Imax
33.15, 100
39.85, 62
52.77, 26
64.75, 17
68.11, 24
72.34, 10